Structure and theoretical powder X-ray diffraction pattern of Pm3Sm7Tm (the GGA-PBE geometry in Alexandria; Cu Kα (λ = 1.5418 Å)).
No peak broadening, texture or thermal motion is included.

Top 6 peaks for 2θ = 10–80°, sorted by position:
h k l	d_spacing	two_theta	I/Imax
5 1 1	3.176	28.10	20
2 2 2	2.875	31.11	100
0 0 4	2.836	31.54	80
6 0 2	2.727	32.84	57
4 2 4	2.005	45.22	25
10 2 2	1.588	58.09	26

Structural model:
Cell: 18.663 7.141 11.347 Å, 90.00 90.00 90.00°
Space group Cmcm (No. 63)
Symmetry-distinct sites (fractional):
Pm 0.000 0.000 0.000
Pm 0.248 0.001 0.250
Sm 0.000 0.261 0.250
Sm 0.086 0.258 0.750
Sm 0.161 0.251 0.027
Tm 0.000 0.500 0.000